1.
# MgVP2O7
Simulated powder X-ray diffraction pattern, a wavelength of 1.5418 Å. Input: the PBE+U geometry in Alexandria.
Lines closer than 0.1° are merged.

Top 10 peaks for 10° ≤ 2θ ≤ 90°, by angle:
| 2theta | d (Å) | I/Imax | index |
| --- | --- | --- | --- |
| 17.03 | 5.206 | 22 | 1 1 -1 |
| 24.84 | 3.584 | 16 | 1 2 -1 |
| 29.04 | 3.075 | 100 | 1 2 -2 |
| 29.16 | 3.063 | 77 | 2 1 -2 |
| 29.33 | 3.045 | 86 | 1 0 2 |
| 34.52 | 2.598 | 23 | 2 2 0 |
| 40.95 | 2.204 | 17 | 1 1 3 |
| 41.97 | 2.153 | 31 | 2 3 -2 |
| 55.49 | 1.656 | 18 | 0 1 5 |
| 57.37 | 1.606 | 21 | 3 3 -4 |

```
data_MgVP2O7
_cell_length_a 7.107
_cell_length_b 8.558
_cell_length_c 9.175
_cell_angle_alpha 90.00
_cell_angle_beta 113.05
_cell_angle_gamma 90.00
_space_group_name_H-M_alt 'P 1 21/c 1'
_space_group_IT_number 14
loop_
_space_group_symop_operation_xyz
'x,y,z'
'-x,-y,-z'
'-x,y+1/2,-z+1/2'
'x,-y+1/2,z+1/2'
loop_
_atom_site_label
_atom_site_fract_x
_atom_site_fract_y
_atom_site_fract_z
Mg1 0.194 0.057 0.314
V1 0.266 0.076 0.895
P1 0.030 0.720 0.966
P2 0.433 0.731 0.250
O1 0.016 0.091 0.659
O2 0.045 0.617 0.400
O3 0.122 0.221 0.451
O4 0.248 0.666 0.093
O5 0.373 0.613 0.794
O6 0.385 0.234 0.301
O7 0.468 0.603 0.376
```

---

2.
# Li3MnP2O8
Simulated powder X-ray diffraction pattern, a wavelength of 1.5418 Å. Input: the PBE+U geometry in Alexandria.
Lines closer than 0.1° are merged.

Top 10 peaks for 10° ≤ 2θ ≤ 90°, by angle:
| 2theta | d (Å) | I/Imax | index |
| --- | --- | --- | --- |
| 16.66 | 5.321 | 100 | 0 1 1 |
| 23.87 | 3.729 | 30 | 0 2 1 |
| 24.24 | 3.671 | 45 | 1 1 0 |
| 25.64 | 3.475 | 44 | 1 1 -2 |
| 29.74 | 3.004 | 23 | 1 2 0 |
| 30.90 | 2.894 | 27 | 1 2 -2 |
| 33.44 | 2.680 | 33 | 1 1 1 |
| 33.69 | 2.660 | 44 | 0 2 2 |
| 35.10 | 2.557 | 37 | 1 3 -1 |
| 38.72 | 2.326 | 21 | 2 1 -2 |

```
data_Li3MnP2O8
_cell_length_a 4.824
_cell_length_b 9.053
_cell_length_c 7.898
_cell_angle_alpha 90.00
_cell_angle_beta 123.63
_cell_angle_gamma 90.00
_space_group_name_H-M_alt 'P 1 21/c 1'
_space_group_IT_number 14
loop_
_space_group_symop_operation_xyz
'x,y,z'
'-x,-y,-z'
'-x,y+1/2,-z+1/2'
'x,-y+1/2,z+1/2'
loop_
_atom_site_label
_atom_site_fract_x
_atom_site_fract_y
_atom_site_fract_z
Li1 0.000 0.000 0.000
Li2 0.337 0.134 0.833
Mn1 0.500 0.000 0.500
P1 0.171 0.678 0.195
O1 0.139 0.654 0.715
O2 0.166 0.124 0.500
O3 0.246 0.591 0.382
O4 0.464 0.651 0.164
```